Entry 1:
Structure and simulated X-ray diffraction stick pattern of LiFeF4 (DFT lattice parameters and positions (GGA+U); CuKα).

Crystal structure
```
data_LiFeF4
_symmetry_space_group_name_H-M 'C 1 2/m 1'
_symmetry_Int_Tables_number 12
_symmetry_space_group_name_Hall '-C 2y'
_cell_length_a 10.763
_cell_length_b 3.079
_cell_length_c 5.475
_cell_angle_alpha 90.00
_cell_angle_beta 120.32
_cell_angle_gamma 90.00
loop_
_atom_site_label
_atom_site_fract_x
_atom_site_fract_y
_atom_site_fract_z
_atom_site_occupancy
Li1 0.000 0.000 0.000 1
Fe1 0.000 0.500 0.500 1
F1 0.090 0.500 0.277 1
F2 0.116 0.000 0.745 1
```

Main lines, sorted by position (5° ≤ 2θ ≤ 70°):
| Position (°2θ) | I_rel | h k l |
| --- | --- | --- |
| 18.81 | 100 | 0 0 1 |
| 19.11 | 96 | 2 0 0 |
| 30.59 | 26 | 1 1 0 |
| 38.24 | 28 | 4 0 -2 |
| 38.71 | 53 | 1 1 1 |
| 41.35 | 17 | 3 1 0 |
| 51.73 | 10 | 6 0 -2 |
| 52.02 | 27 | 3 1 1 |
| 58.83 | 21 | 3 1 -3 |
| 60.10 | 9 | 0 2 0 |

***

Entry 2:
Structure and simulated X-ray diffraction stick pattern of Ho5Mo2O12 (DFT lattice parameters and positions (GGA+U); CuKα).

Crystal structure
```
data_Ho5Mo2O12
_symmetry_space_group_name_H-M 'C 1 2/m 1'
_symmetry_Int_Tables_number 12
_symmetry_space_group_name_Hall '-C 2y'
_cell_length_a 12.322
_cell_length_b 5.991
_cell_length_c 7.312
_cell_angle_alpha 90.00
_cell_angle_beta 107.37
_cell_angle_gamma 90.00
loop_
_atom_site_label
_atom_site_fract_x
_atom_site_fract_y
_atom_site_fract_z
_atom_site_occupancy
Ho1 0.000 0.000 0.000 1
Ho2 0.191 0.500 0.323 1
Ho3 0.200 0.500 0.864 1
Mo1 0.000 0.247 0.500 1
O1 0.001 0.500 0.303 1
O2 0.003 0.000 0.313 1
O3 0.153 0.250 0.072 1
O4 0.167 0.267 0.587 1
```

Main lines, sorted by position (5° ≤ 2θ ≤ 70°):
| Position (°2θ) | I_rel | h k l |
| --- | --- | --- |
| 27.19 | 96 | 3 1 0 |
| 28.61 | 100 | 1 1 -2 |
| 29.83 | 21 | 0 2 0 |
| 32.50 | 41 | 0 2 1 |
| 33.53 | 71 | 2 0 2 |
| 45.48 | 31 | 2 2 2 |
| 49.89 | 19 | 2 0 -4 |
| 52.17 | 30 | 1 3 -2 |
| 55.68 | 26 | 6 2 -2 |
| 57.74 | 19 | 1 1 4 |

***

Entry 3:
Structure and simulated X-ray diffraction stick pattern of Ce2MgV2O8 (DFT lattice parameters and positions (GGA+U); CuKα).

Crystal structure
```
data_Ce2MgV2O8
_symmetry_space_group_name_H-M 'P 1'
_symmetry_Int_Tables_number 1
_symmetry_space_group_name_Hall 'P 1'
_cell_length_a 6.220
_cell_length_b 6.224
_cell_length_c 6.339
_cell_angle_alpha 106.30
_cell_angle_beta 106.37
_cell_angle_gamma 115.24
loop_
_atom_site_label
_atom_site_fract_x
_atom_site_fract_y
_atom_site_fract_z
_atom_site_occupancy
Ce1 0.000 0.000 0.000 1
Ce2 0.280 0.716 0.501 1
Mg1 0.986 0.012 0.501 1
V1 0.506 0.493 0.002 1
V2 0.724 0.273 0.501 1
O1 0.298 0.116 0.789 1
O2 0.307 0.476 0.183 1
O3 0.371 0.069 0.322 1
O4 0.522 0.691 0.821 1
O5 0.762 0.060 0.656 1
O6 0.881 0.697 0.216 1
O7 0.928 0.625 0.682 1
O8 0.938 0.237 0.348 1
```

Main lines, sorted by position (5° ≤ 2θ ≤ 70°):
| Position (°2θ) | I_rel | h k l |
| --- | --- | --- |
| 17.78 | 41 | 0 1 -1 |
| 23.64 | 100 | 1 -1 1 |
| 29.98 | 17 | 1 -2 0 |
| 31.56 | 48 | 1 1 -2 |
| 31.80 | 34 | 2 0 -1 |
| 33.21 | 16 | 0 0 2 |
| 38.33 | 23 | 1 -2 2 |
| 46.64 | 31 | 2 0 1 |
| 47.16 | 33 | 3 -1 0 |
| 48.36 | 18 | 2 -2 2 |